Record 1
The following is a computed powder X-ray diffraction pattern of PuMgZn3. It was derived from DFT lattice parameters and positions (GGA-PBE), using Cu Kα.
Lines closer than 0.1° are merged.

Structure:
a b c (Å): 6.442 6.442 5.785
angles (deg): 90.00 90.00 120.00
Fractional coordinates of all 10 atoms:
Pu 0.333 0.667 0.250
Pu 0.667 0.333 0.750
Mg 0.000 0.000 0.000
Mg 0.000 0.000 0.500
Zn 0.202 0.404 0.750
Zn 0.202 0.798 0.750
Zn 0.404 0.202 0.250
Zn 0.596 0.798 0.750
Zn 0.798 0.202 0.250
Zn 0.798 0.596 0.250

Largest 12 diffraction maxima, low angle first, 10° ≤ 2θ ≤ 90°:
- 2θ 15.89, I = 32.3
- 2θ 22.14, I = 29.2
- 2θ 27.69, I = 37.5
- 2θ 30.92, I = 35.6
- 2θ 32.09, I = 18.2
- 2θ 34.94, I = 22.0
- 2θ 35.73, I = 100.0
- 2θ 41.98, I = 14.9
- 2θ 45.16, I = 23.3
- 2θ 45.80, I = 35.0
- 2θ 58.16, I = 24.4
- 2θ 62.09, I = 15.2


Record 2
The following is a computed powder X-ray diffraction pattern of NpBiH8Ir2. It was derived from DFT lattice parameters and positions (GGA-PBE), using Cu Kα.
Lines closer than 0.1° are merged.

Structure:
a b c (Å): 7.182 7.182 7.182
angles (deg): 37.75 37.75 37.75
Fractional coordinates of all 12 atoms:
Np 0.000 0.000 0.000
Bi 0.500 0.500 0.500
H 0.031 0.031 0.638
H 0.031 0.638 0.031
H 0.331 0.331 0.331
H 0.362 0.969 0.969
H 0.638 0.031 0.031
H 0.669 0.669 0.669
H 0.969 0.362 0.969
H 0.969 0.969 0.362
Ir 0.249 0.249 0.249
Ir 0.751 0.751 0.751

Largest 12 diffraction maxima, low angle first, 10° ≤ 2θ ≤ 90°:
- 2θ 28.48, I = 100.0
- 2θ 38.76, I = 45.3
- 2θ 42.60, I = 34.9
- 2θ 48.80, I = 23.6
- 2θ 55.15, I = 5.6
- 2θ 58.94, I = 13.5
- 2θ 63.99, I = 21.4
- 2θ 69.44, I = 16.9
- 2θ 70.17, I = 8.2
- 2θ 72.80, I = 14.8
- 2θ 80.52, I = 5.7
- 2θ 83.17, I = 5.3


Record 3
The following is a computed powder X-ray diffraction pattern of In3SCl7. It was derived from DFT lattice parameters and positions (GGA-PBE), using Cu Kα.
Lines closer than 0.1° are merged.

Structure:
a b c (Å): 7.460 7.460 9.147
angles (deg): 126.81 126.81 61.09
Fractional coordinates of all 11 atoms:
In 0.000 0.000 0.000
In 0.000 0.523 0.523
In 0.523 0.000 0.523
S 0.729 0.729 0.684
Cl 0.232 0.232 0.668
Cl 0.232 0.754 0.191
Cl 0.277 0.799 0.839
Cl 0.290 0.290 0.345
Cl 0.754 0.232 0.191
Cl 0.798 0.798 0.361
Cl 0.799 0.277 0.839

Largest 12 diffraction maxima, low angle first, 10° ≤ 2θ ≤ 90°:
- 2θ 13.48, I = 10.8
- 2θ 13.78, I = 100.0
- 2θ 15.15, I = 31.8
- 2θ 27.15, I = 15.1
- 2θ 30.45, I = 30.6
- 2θ 30.63, I = 59.9
- 2θ 39.03, I = 16.3
- 2θ 39.14, I = 14.4
- 2θ 39.35, I = 35.4
- 2θ 47.98, I = 27.8
- 2θ 50.22, I = 13.3
- 2θ 50.80, I = 15.6


Record 4
The following is a computed powder X-ray diffraction pattern of Ho4ErZr. It was derived from DFT lattice parameters and positions (GGA-PBE), using Cu Kα.
Lines closer than 0.1° are merged.

Structure:
a b c (Å): 16.805 3.479 6.069
angles (deg): 90.00 97.01 90.00
Fractional coordinates of all 12 atoms:
Ho 0.160 0.000 0.391
Ho 0.165 0.500 0.883
Ho 0.335 0.000 0.117
Ho 0.340 0.500 0.609
Ho 0.660 0.500 0.391
Ho 0.665 0.000 0.883
Ho 0.835 0.500 0.117
Ho 0.840 0.000 0.609
Er 0.000 0.000 0.000
Er 0.500 0.500 0.000
Zr 0.000 0.500 0.500
Zr 0.500 0.000 0.500

Largest 12 diffraction maxima, low angle first, 10° ≤ 2θ ≤ 90°:
- 2θ 29.82, I = 28.1
- 2θ 30.48, I = 26.0
- 2θ 32.20, I = 70.5
- 2θ 32.83, I = 51.0
- 2θ 32.94, I = 100.0
- 2θ 34.54, I = 37.5
- 2θ 34.73, I = 73.8
- 2θ 52.32, I = 36.6
- 2θ 52.62, I = 18.1
- 2θ 56.70, I = 36.0
- 2θ 62.77, I = 41.4
- 2θ 63.04, I = 28.1


Record 5
The following is a computed powder X-ray diffraction pattern of Ac2PmF8. It was derived from DFT lattice parameters and positions (GGA-PBE), using Cu Kα.
Lines closer than 0.1° are merged.

Structure:
a b c (Å): 7.581 7.581 7.581
angles (deg): 146.67 137.73 54.87
Fractional coordinates of all 11 atoms:
Ac 0.169 0.169 0.000
Ac 0.831 0.831 0.000
Pm 0.500 0.500 0.000
F 0.110 0.351 0.759
F 0.267 0.000 0.267
F 0.304 0.804 0.500
F 0.409 0.649 0.759
F 0.591 0.351 0.241
F 0.696 0.196 0.500
F 0.733 0.000 0.733
F 0.890 0.649 0.241

Largest 12 diffraction maxima, low angle first, 10° ≤ 2θ ≤ 90°:
- 2θ 25.69, I = 100.0
- 2θ 26.19, I = 93.6
- 2θ 28.59, I = 63.6
- 2θ 32.76, I = 22.9
- 2θ 40.21, I = 25.2
- 2θ 41.54, I = 25.6
- 2θ 44.03, I = 83.6
- 2θ 48.62, I = 39.0
- 2θ 49.48, I = 35.4
- 2θ 59.19, I = 15.8
- 2θ 69.95, I = 13.6
- 2θ 77.53, I = 14.9


Record 6
The following is a computed powder X-ray diffraction pattern of Ca2ZrRhO6. It was derived from DFT lattice parameters and positions (GGA-PBE), using Cu Kα.
Lines closer than 0.1° are merged.

Structure:
a b c (Å): 5.540 5.709 9.623
angles (deg): 90.00 124.58 90.00
Fractional coordinates of all 20 atoms:
Ca 0.234 0.054 0.249
Ca 0.234 0.446 0.749
Ca 0.766 0.554 0.251
Ca 0.766 0.946 0.751
Zr 0.500 0.000 0.000
Zr 0.500 0.500 0.500
Rh 0.000 0.000 0.500
Rh 0.000 0.500 0.000
O 0.143 0.207 0.949
O 0.143 0.293 0.449
O 0.242 0.700 0.948
O 0.242 0.800 0.448
O 0.343 0.033 0.744
O 0.343 0.467 0.244
O 0.657 0.533 0.756
O 0.657 0.967 0.256
O 0.758 0.200 0.552
O 0.758 0.300 0.052
O 0.857 0.707 0.551
O 0.857 0.793 0.051

Largest 12 diffraction maxima, low angle first, 10° ≤ 2θ ≤ 90°:
- 2θ 22.39, I = 100.0
- 2θ 31.34, I = 42.3
- 2θ 31.78, I = 86.2
- 2θ 32.01, I = 85.0
- 2θ 32.32, I = 38.5
- 2θ 45.64, I = 49.5
- 2θ 45.81, I = 27.0
- 2θ 56.06, I = 14.4
- 2θ 56.20, I = 15.1
- 2θ 56.56, I = 19.9
- 2θ 57.16, I = 20.9
- 2θ 57.59, I = 21.5


Record 7
The following is a computed powder X-ray diffraction pattern of RbAgSe4. It was derived from DFT lattice parameters and positions (GGA-PBE), using Cu Kα.
Lines closer than 0.1° are merged.

Structure:
a b c (Å): 5.893 9.189 13.776
angles (deg): 90.00 90.00 90.00
Fractional coordinates of all 24 atoms:
Rb 0.182 0.060 0.339
Rb 0.318 0.940 0.839
Rb 0.682 0.440 0.661
Rb 0.818 0.560 0.161
Ag 0.036 0.131 0.065
Ag 0.464 0.869 0.565
Ag 0.536 0.369 0.935
Ag 0.964 0.631 0.435
Se 0.077 0.582 0.925
Se 0.126 0.691 0.611
Se 0.137 0.368 0.826
Se 0.187 0.866 0.105
Se 0.313 0.134 0.605
Se 0.363 0.632 0.326
Se 0.374 0.309 0.111
Se 0.423 0.418 0.425
Se 0.577 0.918 0.075
Se 0.626 0.809 0.389
Se 0.637 0.132 0.174
Se 0.687 0.634 0.895
Se 0.813 0.366 0.395
Se 0.863 0.868 0.674
Se 0.874 0.191 0.889
Se 0.923 0.082 0.575

Largest 12 diffraction maxima, low angle first, 10° ≤ 2θ ≤ 90°:
- 2θ 11.58, I = 47.5
- 2θ 16.08, I = 71.4
- 2θ 24.57, I = 53.1
- 2θ 25.42, I = 39.9
- 2θ 25.87, I = 66.6
- 2θ 27.66, I = 49.5
- 2θ 27.82, I = 100.0
- 2θ 30.05, I = 37.0
- 2θ 31.45, I = 73.8
- 2θ 31.63, I = 46.5
- 2θ 32.57, I = 88.9
- 2θ 42.36, I = 39.1


Record 8
The following is a computed powder X-ray diffraction pattern of Sm3Y2Al2. It was derived from DFT lattice parameters and positions (GGA-PBE), using Cu Kα.
Lines closer than 0.1° are merged.

Structure:
a b c (Å): 3.569 3.569 31.358
angles (deg): 90.00 90.00 90.00
Fractional coordinates of all 14 atoms:
Sm 0.000 0.000 0.000
Sm 0.000 0.000 0.125
Sm 0.000 0.000 0.875
Sm 0.500 0.500 0.375
Sm 0.500 0.500 0.500
Sm 0.500 0.500 0.625
Y 0.000 0.000 0.290
Y 0.000 0.000 0.710
Y 0.500 0.500 0.210
Y 0.500 0.500 0.790
Al 0.000 0.000 0.437
Al 0.000 0.000 0.563
Al 0.500 0.500 0.063
Al 0.500 0.500 0.937

Largest 12 diffraction maxima, low angle first, 10° ≤ 2θ ≤ 90°:
- 2θ 22.69, I = 16.9
- 2θ 25.11, I = 37.0
- 2θ 28.78, I = 17.0
- 2θ 32.06, I = 100.0
- 2θ 35.57, I = 50.4
- 2θ 36.02, I = 15.1
- 2θ 42.61, I = 13.3
- 2θ 51.19, I = 17.7
- 2θ 56.13, I = 12.8
- 2θ 59.76, I = 11.4
- 2θ 61.69, I = 30.0
- 2θ 79.39, I = 9.2


Question: Number 1 is which compound?
Answer: PuMgZn3


Question: What is the formula in the fourth record?
Answer: Ho4ErZr